1.
The following is a calculated powder diffraction line list of NaAcHg2. It was derived from a DFT-relaxed cell (GGA-PBE, the Materials Project), using copper Kα.
Neutral-atom scattering factors, no anomalous dispersion.

Top 10 peaks for 10° ≤ 2θ ≤ 90°, low angle first:
2θ = 19.71°, I 20
2θ = 22.80°, I 7
2θ = 32.46°, I 100
2θ = 38.26°, I 12
2θ = 46.56°, I 19
2θ = 51.02°, I 5
2θ = 57.90°, I 39
2θ = 67.97°, I 12
2θ = 77.35°, I 17
2θ = 86.40°, I 4

Atomic structure:
Lattice parameters (Å, degrees): 5.517 5.517 5.517 60.00 60.00 60.00
Fractional coordinates of all 4 atoms:
Na1 0.000 0.000 0.000
Ac1 0.500 0.500 0.500
Hg1 0.250 0.250 0.250
Hg2 0.750 0.750 0.750



2.
The following is a calculated powder diffraction line list of PrHo3S6. It was derived from a DFT-relaxed cell (GGA-PBE, the Materials Project), using copper Kα.
Neutral-atom scattering factors, no anomalous dispersion.

Top 10 peaks for 10° ≤ 2θ ≤ 90°, low angle first:
2θ = 23.60°, I 78
2θ = 24.08°, I 100
2θ = 26.21°, I 66
2θ = 27.38°, I 44
2θ = 27.55°, I 50
2θ = 30.91°, I 71
2θ = 34.11°, I 52
2θ = 42.18°, I 76
2θ = 43.85°, I 40
2θ = 45.51°, I 50

Atomic structure:
Lattice parameters (Å, degrees): 11.085 3.987 11.313 90.00 108.86 90.00
Fractional coordinates of all 20 atoms:
Pr1 0.049 0.250 0.194
Pr2 0.951 0.750 0.806
Ho1 0.161 0.250 0.586
Ho2 0.320 0.750 0.999
Ho3 0.441 0.250 0.333
Ho4 0.559 0.750 0.667
Ho5 0.680 0.250 0.001
Ho6 0.839 0.750 0.414
S1 0.081 0.750 0.406
S2 0.119 0.250 0.964
S3 0.195 0.750 0.749
S4 0.265 0.750 0.229
S5 0.395 0.250 0.559
S6 0.478 0.250 0.112
S7 0.522 0.750 0.888
S8 0.605 0.750 0.441
S9 0.735 0.250 0.771
S10 0.805 0.250 0.251
S11 0.881 0.750 0.036
S12 0.919 0.250 0.594



3.
The following is a calculated powder diffraction line list of BaCeSn2S6. It was derived from a DFT-relaxed cell (GGA-PBE, the Materials Project), using copper Kα.
Neutral-atom scattering factors, no anomalous dispersion.

Top 10 peaks for 10° ≤ 2θ ≤ 90°, low angle first:
2θ = 25.87°, I 46
2θ = 26.26°, I 43
2θ = 26.60°, I 100
2θ = 31.45°, I 25
2θ = 31.92°, I 35
2θ = 32.21°, I 49
2θ = 34.74°, I 24
2θ = 44.18°, I 36
2θ = 46.28°, I 25
2θ = 47.31°, I 34

Atomic structure:
Lattice parameters (Å, degrees): 4.100 19.899 12.092 90.00 90.00 90.00
Fractional coordinates of all 40 atoms:
Ba1 0.000 0.080 0.000
Ba2 0.000 0.360 0.435
Ba3 0.000 0.640 0.935
Ba4 0.000 0.920 0.500
Ce1 0.000 0.118 0.365
Ce2 0.000 0.418 0.054
Ce3 0.000 0.582 0.554
Ce4 0.000 0.882 0.865
Sn1 0.000 0.253 0.783
Sn2 0.000 0.747 0.283
Sn3 0.500 0.092 0.676
Sn4 0.500 0.248 0.181
Sn5 0.500 0.424 0.730
Sn6 0.500 0.576 0.230
Sn7 0.500 0.752 0.681
Sn8 0.500 0.908 0.176
S1 0.000 0.015 0.744
S2 0.000 0.167 0.601
S3 0.000 0.259 0.062
S4 0.000 0.491 0.777
S5 0.000 0.509 0.277
S6 0.000 0.741 0.562
S7 0.000 0.833 0.101
S8 0.000 0.985 0.244
S9 0.500 0.043 0.474
S10 0.500 0.119 0.189
S11 0.500 0.164 0.853
S12 0.500 0.231 0.383
S13 0.500 0.317 0.634
S14 0.500 0.363 0.916
S15 0.500 0.376 0.215
S16 0.500 0.478 0.533
S17 0.500 0.522 0.033
S18 0.500 0.624 0.715
S19 0.500 0.637 0.416
S20 0.500 0.683 0.134
S21 0.500 0.769 0.883
S22 0.500 0.836 0.353
S23 0.500 0.881 0.689
S24 0.500 0.957 0.974



4.
The following is a calculated powder diffraction line list of SnS16I4. It was derived from a DFT-relaxed cell (GGA-PBE, the Materials Project), using copper Kα.
Neutral-atom scattering factors, no anomalous dispersion.

Top 10 peaks for 10° ≤ 2θ ≤ 90°, low angle first:
2θ = 10.70°, I 100
2θ = 13.52°, I 90
2θ = 14.01°, I 75
2θ = 14.15°, I 48
2θ = 19.96°, I 39
2θ = 20.89°, I 39
2θ = 21.47°, I 71
2θ = 26.18°, I 69
2θ = 26.67°, I 36
2θ = 32.32°, I 34

Atomic structure:
Lattice parameters (Å, degrees): 14.044 13.701 16.540 54.37 52.46 73.17
Fractional coordinates of all 42 atoms:
Sn1 0.000 0.000 0.000
Sn2 0.250 0.250 0.250
S1 0.004 0.662 0.482
S2 0.171 0.532 0.820
S3 0.199 0.514 0.612
S4 0.212 0.416 0.755
S5 0.225 0.704 0.677
S6 0.375 0.566 0.459
S7 0.398 0.768 0.588
S8 0.416 0.212 0.617
S9 0.430 0.773 0.079
S10 0.439 0.736 0.384
S11 0.495 0.633 0.038
S12 0.514 0.199 0.675
S13 0.517 0.711 0.466
S14 0.532 0.171 0.477
S15 0.566 0.375 0.601
S16 0.573 0.855 0.025
S17 0.575 0.638 0.736
S18 0.633 0.495 0.834
S19 0.638 0.575 0.051
S20 0.649 0.791 0.684
S21 0.662 0.004 0.852
S22 0.704 0.225 0.395
S23 0.711 0.517 0.307
S24 0.736 0.439 0.441
S25 0.768 0.398 0.246
S26 0.773 0.430 0.718
S27 0.784 0.943 0.733
S28 0.791 0.649 0.875
S29 0.809 0.866 0.514
S30 0.855 0.573 0.546
S31 0.866 0.809 0.811
S32 0.943 0.784 0.539
I1 0.004 0.797 0.007
I2 0.006 0.186 0.801
I3 0.058 0.243 0.453
I4 0.186 0.006 0.007
I5 0.243 0.058 0.246
I6 0.243 0.449 0.064
I7 0.449 0.243 0.244
I8 0.797 0.004 0.192